Record 1
Starting from a structure optimized by DFT (PBE), the powder X-ray diffraction pattern of Cd4Hg3Pb was calculated for Cu Kα, 1.54184 Å.
No peak broadening, texture or thermal motion is included.

Main lines, low angle first (15° ≤ 2θ ≤ 90°):
2θ (°)	I (rel.)
31.23	100
31.58	98
35.26	73
35.75	69
36.70	67
38.29	58
44.03	39
45.96	33
57.87	18
58.06	17

Structure:
```
Cd4Hg3Pb
1.0
5.289 0.000 0.000
-2.347 5.946 0.000
-1.517 -1.183 6.444
Cd Hg Pb
4 3 1
direct
0.141 0.155 0.271 Cd
0.255 0.761 0.483 Cd
0.745 0.239 0.517 Cd
0.859 0.845 0.729 Cd
0.000 0.500 0.000 Hg
0.363 0.385 0.739 Hg
0.637 0.615 0.261 Hg
0.500 0.000 0.000 Pb
```

***

Record 2
Starting from a structure optimized by DFT (PBE), the powder X-ray diffraction pattern of CdHg6Pb2 was calculated for Cu Kα, 1.54184 Å.
No peak broadening, texture or thermal motion is included.

Main lines, low angle first (15° ≤ 2θ ≤ 90°):
2θ (°)	I (rel.)
30.53	44
32.19	41
32.41	27
33.80	48
35.52	100
44.96	25
54.26	36
60.70	27
64.51	34
66.55	16

Structure:
```
CdHg6Pb2
1.0
3.381 0.000 0.000
-1.690 2.928 0.000
0.000 0.000 25.025
Cd Hg Pb
1 6 2
direct
0.000 0.000 0.000 Cd
0.000 0.000 0.210 Hg
0.000 0.000 0.440 Hg
0.000 0.000 0.560 Hg
0.000 0.000 0.790 Hg
0.333 0.667 0.103 Hg
0.333 0.667 0.897 Hg
0.333 0.667 0.326 Pb
0.333 0.667 0.674 Pb
```

***

Record 3
Starting from a structure optimized by DFT (PBE), the powder X-ray diffraction pattern of Cd2Hg7Pb3 was calculated for Cu Kα, 1.54184 Å.
No peak broadening, texture or thermal motion is included.

Main lines, low angle first (15° ≤ 2θ ≤ 90°):
2θ (°)	I (rel.)
30.11	13
31.53	23
32.70	100
33.00	15
35.03	20
35.89	32
37.36	14
49.50	15
62.47	14
62.64	14

Structure:
```
Cd2Hg7Pb3
1.0
5.005 0.000 0.000
0.000 3.683 0.000
-2.436 0.000 17.810
Cd Hg Pb
2 7 3
direct
0.178 0.000 0.291 Cd
0.822 0.000 0.709 Cd
0.117 0.500 0.151 Hg
0.232 0.000 0.457 Hg
0.367 0.000 0.810 Hg
0.500 0.500 0.000 Hg
0.633 0.000 0.190 Hg
0.768 0.000 0.543 Hg
0.883 0.500 0.849 Hg
0.000 0.000 0.000 Pb
0.288 0.500 0.631 Pb
0.712 0.500 0.369 Pb
```

***

Record 4
Starting from a structure optimized by DFT (PBE), the powder X-ray diffraction pattern of Cd3Hg5Pb was calculated for Cu Kα, 1.54184 Å.
No peak broadening, texture or thermal motion is included.

Main lines, low angle first (15° ≤ 2θ ≤ 90°):
2θ (°)	I (rel.)
23.88	10
33.93	99
34.13	100
48.89	36
60.98	37
61.11	19
67.89	28
71.89	12
81.92	16
88.18	14

Structure:
```
Cd3Hg5Pb
1.0
9.099 0.000 0.000
-4.550 7.880 0.000
0.000 0.000 6.491
Cd Hg Pb
6 10 2
direct
0.000 0.343 0.250 Cd
0.000 0.657 0.750 Cd
0.343 0.000 0.250 Cd
0.343 0.343 0.750 Cd
0.657 0.000 0.750 Cd
0.657 0.657 0.250 Cd
0.000 0.334 0.750 Hg
0.000 0.666 0.250 Hg
0.333 0.667 0.000 Hg
0.333 0.667 0.500 Hg
0.334 0.000 0.750 Hg
0.334 0.334 0.250 Hg
0.666 0.000 0.250 Hg
0.666 0.666 0.750 Hg
0.667 0.333 0.000 Hg
0.667 0.333 0.500 Hg
0.000 0.000 0.000 Pb
0.000 0.000 0.500 Pb
```

***

Record 5
Starting from a structure optimized by DFT (PBE), the powder X-ray diffraction pattern of Cd3Hg3Pb was calculated for Cu Kα, 1.54184 Å.
No peak broadening, texture or thermal motion is included.

Main lines, low angle first (15° ≤ 2θ ≤ 90°):
2θ (°)	I (rel.)
29.15	21
32.11	100
33.04	77
33.18	93
36.72	58
38.96	60
39.12	55
39.61	44
53.82	22
59.90	21

Structure:
```
Cd3Hg3Pb
1.0
7.054 0.000 0.000
0.194 7.215 0.000
1.878 0.228 7.222
Cd Hg Pb
6 6 2
direct
0.001 0.209 0.409 Cd
0.348 0.528 0.394 Cd
0.351 0.141 0.594 Cd
0.649 0.859 0.406 Cd
0.652 0.472 0.606 Cd
0.999 0.791 0.591 Cd
0.010 0.390 0.783 Hg
0.280 0.776 0.825 Hg
0.298 0.932 0.220 Hg
0.702 0.068 0.780 Hg
0.720 0.224 0.175 Hg
0.990 0.610 0.217 Hg
0.338 0.324 0.006 Pb
0.662 0.676 0.994 Pb
```

***

Record 6
Starting from a structure optimized by DFT (PBE), the powder X-ray diffraction pattern of Cd8Hg4Pb was calculated for Cu Kα, 1.54184 Å.
No peak broadening, texture or thermal motion is included.

Main lines, low angle first (15° ≤ 2θ ≤ 90°):
2θ (°)	I (rel.)
30.83	31
31.26	31
34.78	72
36.27	100
37.76	55
37.96	46
49.52	17
51.39	20
65.51	19
69.59	19

Structure:
```
Cd8Hg4Pb
1.0
3.172 0.000 0.000
0.000 4.764 0.000
0.000 0.000 21.472
Cd Hg Pb
8 4 1
direct
0.000 0.000 0.000 Cd
0.000 0.000 0.258 Cd
0.000 0.500 0.462 Cd
0.000 0.500 0.751 Cd
0.500 0.000 0.118 Cd
0.500 0.000 0.700 Cd
0.500 0.500 0.312 Cd
0.500 0.500 0.609 Cd
0.000 0.000 0.555 Hg
0.000 0.500 0.165 Hg
0.500 0.000 0.403 Hg
0.500 0.500 0.940 Hg
0.000 0.000 0.847 Pb
```

***

Record 7
Starting from a structure optimized by DFT (PBE), the powder X-ray diffraction pattern of CdHg2Pb9 was calculated for Cu Kα, 1.54184 Å.
No peak broadening, texture or thermal motion is included.

Main lines, low angle first (15° ≤ 2θ ≤ 90°):
2θ (°)	I (rel.)
31.52	100
36.47	17
36.60	34
52.65	36
62.55	15
62.73	29
65.80	13
86.18	13
86.34	6
89.14	12

Structure:
```
CdHg2Pb9
1.0
4.911 0.000 0.000
0.000 4.911 0.000
0.000 0.000 14.784
Cd Hg Pb
1 2 9
direct
0.000 0.000 0.000 Cd
0.000 0.000 0.334 Hg
0.000 0.000 0.666 Hg
0.000 0.500 0.166 Pb
0.000 0.500 0.500 Pb
0.000 0.500 0.834 Pb
0.500 0.000 0.166 Pb
0.500 0.000 0.500 Pb
0.500 0.000 0.834 Pb
0.500 0.500 0.000 Pb
0.500 0.500 0.333 Pb
0.500 0.500 0.667 Pb
```

***

Record 8
Starting from a structure optimized by DFT (PBE), the powder X-ray diffraction pattern of Cd7Hg4Pb3 was calculated for Cu Kα, 1.54184 Å.
No peak broadening, texture or thermal motion is included.

Main lines, low angle first (15° ≤ 2θ ≤ 90°):
2θ (°)	I (rel.)
29.09	38
32.00	100
32.40	19
33.82	17
34.75	52
36.04	39
36.79	26
39.45	31
51.58	26
66.80	19

Structure:
```
Cd7Hg4Pb3
1.0
9.988 -1.771 0.000
9.988 1.771 0.000
-4.347 0.000 10.380
Cd Hg Pb
7 4 3
direct
0.000 0.000 0.000 Cd
0.193 0.193 0.389 Cd
0.286 0.286 0.123 Cd
0.447 0.447 0.705 Cd
0.553 0.553 0.295 Cd
0.714 0.714 0.877 Cd
0.807 0.807 0.611 Cd
0.083 0.083 0.816 Hg
0.347 0.347 0.407 Hg
0.653 0.653 0.593 Hg
0.917 0.917 0.184 Hg
0.000 0.000 0.500 Pb
0.354 0.354 0.886 Pb
0.646 0.646 0.114 Pb
```

***

Record 9
Starting from a structure optimized by DFT (PBE), the powder X-ray diffraction pattern of Cd3Hg2Pb2 was calculated for Cu Kα, 1.54184 Å.
No peak broadening, texture or thermal motion is included.

Main lines, low angle first (15° ≤ 2θ ≤ 90°):
2θ (°)	I (rel.)
29.09	27
30.05	25
32.07	23
32.84	100
34.62	85
38.57	65
39.34	20
57.02	44
66.21	27
66.96	25

Structure:
```
Cd3Hg2Pb2
1.0
1.660 -16.743 0.000
1.660 16.743 0.000
0.000 0.000 3.299
Cd Hg Pb
3 2 2
direct
0.000 0.000 0.000 Cd
0.437 0.563 0.500 Cd
0.563 0.437 0.500 Cd
0.128 0.872 0.000 Hg
0.872 0.128 0.000 Hg
0.295 0.705 0.500 Pb
0.705 0.295 0.500 Pb
```

***

Record 10
Starting from a structure optimized by DFT (PBE), the powder X-ray diffraction pattern of CdHgPb3 was calculated for Cu Kα, 1.54184 Å.
No peak broadening, texture or thermal motion is included.

Main lines, low angle first (15° ≤ 2θ ≤ 90°):
2θ (°)	I (rel.)
31.84	93
32.20	100
34.89	79
41.32	19
49.67	13
50.67	15
55.16	31
60.44	27
61.09	30
67.36	13

Structure:
```
CdHgPb3
1.0
8.741 0.000 0.000
0.000 3.603 0.000
0.000 0.000 18.355
Cd Hg Pb
4 4 12
direct
0.137 0.250 0.151 Cd
0.363 0.750 0.651 Cd
0.637 0.250 0.349 Cd
0.863 0.750 0.849 Cd
0.150 0.250 0.546 Hg
0.350 0.750 0.046 Hg
0.650 0.250 0.954 Hg
0.850 0.750 0.454 Hg
0.091 0.250 0.359 Pb
0.114 0.250 0.943 Pb
0.140 0.250 0.756 Pb
0.360 0.750 0.256 Pb
0.386 0.750 0.443 Pb
0.409 0.750 0.859 Pb
0.591 0.250 0.141 Pb
0.614 0.250 0.557 Pb
0.640 0.250 0.744 Pb
0.860 0.750 0.244 Pb
0.886 0.750 0.057 Pb
0.909 0.750 0.641 Pb
```

***

Record 11
Starting from a structure optimized by DFT (PBE), the powder X-ray diffraction pattern of Cd2Hg2Pb3 was calculated for Cu Kα, 1.54184 Å.
No peak broadening, texture or thermal motion is included.

Main lines, low angle first (15° ≤ 2θ ≤ 90°):
2θ (°)	I (rel.)
28.08	36
30.01	32
31.17	58
32.23	82
35.64	100
35.96	80
38.73	24
56.19	26
59.48	24
65.26	23

Structure:
```
Cd2Hg2Pb3
1.0
5.869 -1.668 0.000
5.869 1.668 0.000
-5.062 0.000 9.892
Cd Hg Pb
2 2 3
direct
0.000 0.000 0.000 Cd
0.749 0.749 0.095 Cd
0.234 0.234 0.855 Hg
0.510 0.510 0.240 Hg
0.298 0.298 0.369 Pb
0.446 0.446 0.724 Pb
0.645 0.645 0.560 Pb
```

***

Record 12
Starting from a structure optimized by DFT (PBE), the powder X-ray diffraction pattern of Cd7Hg3Pb was calculated for Cu Kα, 1.54184 Å.
No peak broadening, texture or thermal motion is included.

Main lines, low angle first (15° ≤ 2θ ≤ 90°):
2θ (°)	I (rel.)
20.06	35
24.58	33
30.21	100
32.34	94
36.97	94
38.49	84
44.84	64
57.07	19
60.75	23
61.81	18

Structure:
```
Cd7Hg3Pb
1.0
5.185 -5.536 0.000
5.185 5.536 0.000
-3.086 0.000 5.061
Cd Hg Pb
7 3 1
direct
0.000 0.000 0.000 Cd
0.092 0.564 0.328 Cd
0.332 0.332 0.917 Cd
0.436 0.908 0.672 Cd
0.564 0.092 0.328 Cd
0.668 0.668 0.083 Cd
0.908 0.436 0.672 Cd
0.261 0.739 0.000 Hg
0.500 0.500 0.500 Hg
0.739 0.261 0.000 Hg
0.000 0.000 0.500 Pb
```

***

Record 13
Starting from a structure optimized by DFT (PBE), the powder X-ray diffraction pattern of Cd7Hg4Pb was calculated for Cu Kα, 1.54184 Å.
No peak broadening, texture or thermal motion is included.

Main lines, low angle first (15° ≤ 2θ ≤ 90°):
2θ (°)	I (rel.)
31.96	100
39.15	17
39.33	55
51.68	26
61.70	12
62.07	15
66.70	21
66.82	11
84.92	13
89.22	11

Structure:
```
Cd7Hg4Pb
1.0
3.537 0.000 0.000
-1.769 3.063 0.000
0.000 0.000 27.609
Cd Hg Pb
7 4 1
direct
0.000 0.000 0.000 Cd
0.000 0.000 0.245 Cd
0.000 0.000 0.755 Cd
0.333 0.667 0.164 Cd
0.333 0.667 0.408 Cd
0.667 0.333 0.592 Cd
0.667 0.333 0.836 Cd
0.333 0.667 0.673 Hg
0.333 0.667 0.918 Hg
0.667 0.333 0.082 Hg
0.667 0.333 0.327 Hg
0.000 0.000 0.500 Pb
```